Diffraction record for NaSrHfWO6. The PXRD pattern is simulated, not measured: it uses a crystal structure in the Materials Project, relaxed with PBE+U and Cu Kα (weighted mean of Kα1 and Kα2).
Neutral-atom scattering factors, no anomalous dispersion.

Lattice parameters (Å, degrees): 8.1180 8.1180 8.1180 90.00 90.00 90.00
Space group F-43m (No. 216)
Symmetry-distinct sites (fractional):
Na  0.0000  0.0000  0.0000 (multiplicity 4)
Sr  0.0000  0.0000  0.5000 (multiplicity 4)
Hf  0.2500  0.2500  0.7500 (multiplicity 4)
W  0.2500  0.2500  0.2500 (multiplicity 4)
O  0.0048  0.2500  0.2500 (multiplicity 24)

Largest 10 diffraction maxima, in order of rising 2θ, 2θ = 10–90°:
two_theta  Rel. int.  h k l
18.93  5  1 1 1
21.90  49  2 0 0
31.16  100  2 2 0
44.65  31  4 0 0
50.26  21  4 2 0
55.45  41  4 2 2
64.99  19  4 4 0
69.47  10  6 0 0
73.83  18  6 2 0
82.28  6  4 4 4

Diffraction record for LiNiP4O12. The PXRD pattern is simulated, not measured: it uses a crystal structure in the Materials Project, relaxed with PBE+U and Cu Kα (weighted mean of Kα1 and Kα2).
Neutral-atom scattering factors, no anomalous dispersion.

Lattice parameters (Å, degrees): 8.2135 11.5583 9.5488 90.00 90.44 90.00
Space group C2/c (No. 15)
Symmetry-distinct sites (fractional):
Li  0.0000  0.1549  0.2500 (multiplicity 4)
Ni  0.0000  0.1083  0.7500 (multiplicity 4)
P  0.0506  0.3237  0.9704 (multiplicity 8)
P  0.2403  0.0448  0.4760 (multiplicity 8)
O  0.0155  0.2721  0.1107 (multiplicity 8)
O  0.1042  0.3921  0.5931 (multiplicity 8)
O  0.1090  0.2379  0.8633 (multiplicity 8)
O  0.1202  0.0275  0.3573 (multiplicity 8)
O  0.1864  0.4215  0.9782 (multiplicity 8)
O  0.1875  0.1060  0.6053 (multiplicity 8)

Largest 10 diffraction maxima, in order of rising 2θ, 2θ = 10–90°:
two_theta  Rel. int.  h k l
16.16  99  1 1 -1
18.58  59  0 0 2
22.81  100  1 1 -2
22.95  38  1 1 2
26.63  72  2 2 0
27.25  94  1 3 1
28.31  35  2 2 1
28.56  33  2 0 -2
31.82  45  1 3 2
32.77  35  2 2 2

Diffraction record for MgMn6O8F4. The PXRD pattern is simulated, not measured: it uses a crystal structure in the Materials Project, relaxed with PBE+U and Cu Kα (weighted mean of Kα1 and Kα2).
Neutral-atom scattering factors, no anomalous dispersion.

Lattice parameters (Å, degrees): 5.7112 5.8359 7.9346 97.74 108.81 111.22
Space group P1 (No. 1)
Symmetry-distinct sites (fractional):
Mg  0.0000  0.0000  0.0000 (multiplicity 1)
Mn  0.0339  0.8353  0.3713 (multiplicity 1)
Mn  0.4288  0.7867  0.8542 (multiplicity 1)
Mn  0.5338  0.5052  0.5437 (multiplicity 1)
Mn  0.5385  0.1772  0.2036 (multiplicity 1)
Mn  0.9407  0.5060  0.0030 (multiplicity 1)
Mn  0.9525  0.1744  0.6323 (multiplicity 1)
O  0.1267  0.4927  0.8314 (multiplicity 1)
O  0.2148  0.8869  0.2000 (multiplicity 1)
O  0.2172  0.1954  0.5246 (multiplicity 1)
O  0.3193  0.0388  0.9294 (multiplicity 1)
O  0.6912  0.2966  0.4692 (multiplicity 1)
O  0.6998  0.6369  0.8424 (multiplicity 1)
O  0.7930  0.4967  0.1878 (multiplicity 1)
O  0.8042  0.8126  0.5122 (multiplicity 1)
F  0.1938  0.3636  0.1511 (multiplicity 1)
F  0.3098  0.6987  0.5550 (multiplicity 1)
F  0.7443  0.0960  0.8183 (multiplicity 1)
F  0.7453  0.9624  0.1385 (multiplicity 1)

Largest 10 diffraction maxima, in order of rising 2θ, 2θ = 10–90°:
two_theta  Rel. int.  h k l
23.85  100  1 -1 1
27.35  74  1 1 -1
34.05  27  0 1 2
34.39  27  1 0 -3
34.49  27  -1 2 1
35.10  19  -2 1 2
48.83  17  2 -2 2
50.20  15  -3 2 1
52.54  17  1 2 1
60.44  18  -2 2 4